Structure and simulated powder X-ray diffraction pattern of Li6Mn3CoO10 (a DFT-relaxed cell (GGA+U, Alexandria); Cu Kα).
Lines closer than 0.1° are merged.

Top 10 peaks for 2θ from 5° to 70°, sorted by position:
hkl	d/Å	I (rel.)
2 0 0	10.508	22
0 0 1	5.793	10
2 0 1	4.814	100
8 0 -1	2.520	13
3 1 -1	2.464	24
10 0 0	2.102	29
1 1 -2	2.049	57
1 1 3	1.585	9
9 1 2	1.471	14
11 1 -2	1.464	14

Crystal structure
```
data_Li6Mn3CoO10
_chemical_formula_sum 'Li12 Mn6 Co2 O20'
_cell_length_a 21.200
_cell_length_b 2.875
_cell_length_c 5.843
_cell_angle_alpha 90.00
_cell_angle_beta 97.53
_cell_angle_gamma 90.00
_space_group_name_H-M_alt 'C 1 m 1'
_space_group_IT_number 8
loop_
_space_group_symop_operation_xyz
'x,y,z'
'x,-y,z'
'x+1/2,y+1/2,z'
'x+1/2,-y+1/2,z'
loop_
_atom_site_label
_atom_site_fract_x
_atom_site_fract_y
_atom_site_fract_z
Li1 0.000 0.000 0.000
Li2 0.001 0.000 0.505
Li3 0.093 0.500 0.795
Li4 0.194 0.000 0.610
Li5 0.298 0.500 0.408
Li6 0.416 0.000 0.219
Mn1 0.095 0.500 0.306
Mn2 0.296 0.500 0.912
Mn3 0.406 0.000 0.707
Co1 0.194 0.000 0.103
O1 0.009 0.500 0.254
O2 0.099 0.000 0.528
O3 0.103 0.000 0.079
O4 0.192 0.500 0.329
O5 0.193 0.500 0.878
O6 0.288 0.000 0.138
O7 0.304 0.000 0.684
O8 0.398 0.500 0.480
O9 0.401 0.500 0.935
O10 0.492 0.000 0.747
```